# 1
Theoretical powder diffractogram of Rb2Tl2Pb3 for Cu Kα, 1.54184 Å, from a structure optimized by DFT (GGA-PBE).

Crystal structure
```
Rb2Tl2Pb3
1.0
13.547 0.000 0.000
0.000 5.193 0.000
-3.785 0.000 7.576
Rb Tl Pb
4 4 6
direct
0.151 0.000 0.290
0.349 0.500 0.710
0.651 0.500 0.290
0.849 0.000 0.710
0.154 0.000 0.760
0.346 0.500 0.240
0.654 0.500 0.760
0.846 0.000 0.240
0.000 0.500 0.500
0.092 0.500 0.930
0.408 0.000 0.070
0.500 0.000 0.500
0.592 0.000 0.930
0.908 0.500 0.070
```

Largest 10 diffraction maxima, low angle first, 10° ≤ 2θ ≤ 90°:
| d_spacing | Position (°2θ) | I_rel |
| --- | --- | --- |
| 6.301 | 14.1 | 74 |
| 3.398 | 26.2 | 34 |
| 3.260 | 27.4 | 81 |
| 3.188 | 28.0 | 81 |
| 3.022 | 29.6 | 81 |
| 2.741 | 32.7 | 74 |
| 2.713 | 33.0 | 46 |
| 2.595 | 34.6 | 100 |
| 2.383 | 37.7 | 57 |
| 1.876 | 48.5 | 44 |



# 2
Theoretical powder diffractogram of Mn2GeTe4 for Cu Kα, 1.54184 Å, from a structure optimized by DFT (GGA-PBE).

Crystal structure
```
Mn2GeTe4
1.0
-3.773 3.773 6.776
3.773 -3.773 6.776
3.773 3.773 -6.776
Mn Ge Te
4 2 8
direct
0.000 0.000 0.000
0.500 0.000 0.000
0.500 0.000 0.500
0.500 0.500 0.500
0.125 0.375 0.750
0.875 0.625 0.250
0.125 0.320 0.085
0.180 0.765 0.804
0.265 0.960 0.585
0.460 0.375 0.696
0.540 0.625 0.304
0.735 0.040 0.415
0.820 0.235 0.196
0.875 0.680 0.915
```

Largest 10 diffraction maxima, low angle first, 10° ≤ 2θ ≤ 90°:
| d_spacing | Position (°2θ) | I_rel |
| --- | --- | --- |
| 3.773 | 23.6 | 11 |
| 3.275 | 27.2 | 100 |
| 2.860 | 31.3 | 49 |
| 2.704 | 33.1 | 12 |
| 2.551 | 35.2 | 23 |
| 2.483 | 36.2 | 10 |
| 2.251 | 40.1 | 33 |
| 2.198 | 41.1 | 26 |
| 1.679 | 54.7 | 11 |
| 1.637 | 56.2 | 13 |



# 3
Theoretical powder diffractogram of Na5B7C3 for Cu Kα, 1.54184 Å, from a structure optimized by DFT (GGA-PBE).

Crystal structure
```
Na5B7C3
1.0
5.020 0.000 0.000
2.508 7.269 0.000
2.504 1.466 8.572
Na B C
10 14 6
direct
0.000 0.000 0.000
0.000 0.498 0.499
0.200 0.099 0.501
0.201 0.599 0.999
0.399 0.201 0.999
0.400 0.700 0.501
0.598 0.301 0.501
0.601 0.800 0.996
0.798 0.900 0.502
0.800 0.399 0.998
0.003 0.135 0.250
0.020 0.348 0.250
0.052 0.850 0.750
0.163 0.750 0.250
0.249 0.441 0.749
0.388 0.364 0.249
0.420 0.052 0.750
0.570 0.938 0.250
0.617 0.152 0.250
0.622 0.648 0.749
0.758 0.561 0.250
0.762 0.052 0.751
0.839 0.259 0.750
0.965 0.648 0.749
0.166 0.250 0.750
0.233 0.940 0.249
0.363 0.850 0.751
0.422 0.560 0.249
0.566 0.450 0.749
0.827 0.750 0.250
```

Largest 10 diffraction maxima, low angle first, 10° ≤ 2θ ≤ 90°:
| d_spacing | Position (°2θ) | I_rel |
| --- | --- | --- |
| 2.514 | 35.7 | 22 |
| 2.169 | 41.6 | 100 |
| 2.165 | 41.7 | 21 |
| 2.143 | 42.2 | 30 |
| 1.631 | 56.4 | 10 |
| 1.450 | 64.2 | 14 |
| 1.243 | 76.7 | 8 |
| 1.241 | 76.8 | 8 |
| 1.207 | 79.4 | 9 |
| 1.201 | 79.9 | 10 |



Which formula does entry 3 have? Na5B7C3